Theoretical X-ray powder pattern of Sr4LaCo5O15 for copper Kα, from the PBE+U geometry in the Materials Project.

Atomic structure:
a = 8.697 Å, b = 8.697 Å, c = 6.709 Å
α = 105.21°, β = 105.21°, γ = 36.58°
Fractional coordinates of all 25 atoms:
1 Sr 0.100 0.100 0.400
2 Sr 0.300 0.300 0.198
3 Sr 0.700 0.700 0.802
4 Sr 0.900 0.900 0.600
5 La 0.500 0.500 0.000
6 Co 0.101 0.101 0.900
7 Co 0.298 0.298 0.700
8 Co 0.500 0.500 0.500
9 Co 0.702 0.702 0.300
10 Co 0.899 0.899 0.100
11 O 0.000 0.000 0.000
12 O 0.000 0.500 0.500
13 O 0.109 0.600 0.898
14 O 0.200 0.200 0.806
15 O 0.201 0.698 0.287
16 O 0.302 0.799 0.713
17 O 0.400 0.891 0.102
18 O 0.406 0.406 0.599
19 O 0.500 0.000 0.500
20 O 0.594 0.594 0.401
21 O 0.600 0.109 0.898
22 O 0.698 0.201 0.287
23 O 0.799 0.302 0.713
24 O 0.800 0.800 0.194
25 O 0.891 0.400 0.102

Peak list (12 most intense, 2θ from 10° to 90°, in order of rising 2θ)
2theta, I (rel.)
32.65, 100
32.78, 50
40.33, 19
46.66, 18
47.04, 36
58.21, 14
58.39, 19
58.48, 19
68.42, 21
77.60, 8
78.18, 12
87.25, 5